# Li2SnHg9
Calculated powder XRD pattern, Cu Kα, 1.54184 Å. Input: the PBE geometry in Alexandria.

Top 8 peaks for 10 to 80 degrees two-theta, in order of rising 2θ:
2theta	d_spacing	Rel. int.	(hkl)
19.1	4.649	12	1 0 0
28.0	3.182	11	1 0 3
34.2	2.626	100	1 1 3
38.7	2.324	37	2 0 0
41.4	2.182	13	0 0 6
55.9	1.644	13	2 2 0
58.0	1.591	20	2 0 6
67.2	1.393	30	3 1 3

Cell and atoms:
a b c (Å): 4.649 4.649 13.091
angles (deg): 90.00 90.00 90.00
Atoms (fractional coordinates):
Li (0.000, 0.000, 0.160)
Li (0.000, 0.000, 0.840)
Sn (0.000, 0.000, 0.500)
Hg (0.000, 0.500, 0.000)
Hg (0.000, 0.500, 0.319)
Hg (0.000, 0.500, 0.681)
Hg (0.500, 0.000, 0.000)
Hg (0.500, 0.000, 0.319)
Hg (0.500, 0.000, 0.681)
Hg (0.500, 0.500, 0.161)
Hg (0.500, 0.500, 0.500)
Hg (0.500, 0.500, 0.839)